No. 1
For NdTmCSe, the GGA-PBE geometry in Alexandria gives the simulated powder X-ray diffraction pattern in this record (Cu Ka).

Structural model:
```
data_NdTmCSe
_chemical_formula_sum 'Nd3 Tm3 C3 Se3'
_cell_length_a 3.7769
_cell_length_b 3.7769
_cell_length_c 20.4609
_cell_angle_alpha 90.00
_cell_angle_beta 90.00
_cell_angle_gamma 120.00
_symmetry_space_group_name_H-M 'R 3 m'
_symmetry_Int_Tables_number 160
_symmetry_space_group_name_Hall 'R 3 -2"'
loop_
_atom_site_label
_atom_site_fract_x
_atom_site_fract_y
_atom_site_fract_z
Nd1 0.0000 0.0000 0.0000
Tm1 0.0000 0.0000 0.8005
C1 0.0000 0.0000 0.4031
Se1 0.0000 0.0000 0.2264
```

Principal peaks in the range 2θ = 10–80°, in order of rising 2θ:
(hkl), 2theta, Rel. int.
0 0 6, 26.1, 13.4
1 0 1, 27.6, 57.9
0 1 2, 28.7, 13.5
1 0 4, 32.5, 63.7
0 1 5, 35.1, 100.0
0 0 9, 39.6, 16.1
1 1 0, 48.2, 45.2
1 0 10, 52.8, 22.8
2 0 5, 61.0, 19.9
1 1 9, 64.1, 23.8


No. 2
For NdSmC, the GGA-PBE geometry in Alexandria gives the simulated powder X-ray diffraction pattern in this record (Cu Ka).

Structural model:
```
data_NdSmC
_chemical_formula_sum 'Nd1 Sm1 C1'
_cell_length_a 3.6577
_cell_length_b 3.6577
_cell_length_c 6.6105
_cell_angle_alpha 90.00
_cell_angle_beta 90.00
_cell_angle_gamma 120.00
_symmetry_space_group_name_H-M 'P 3 m 1'
_symmetry_Int_Tables_number 156
_symmetry_space_group_name_Hall 'P 3 -2"'
loop_
_atom_site_label
_atom_site_fract_x
_atom_site_fract_y
_atom_site_fract_z
Nd1 0.0000 0.0000 0.0000
Sm1 0.3333 0.6667 0.4248
C1 0.6667 0.3333 0.2187
```

Principal peaks in the range 2θ = 10–80°, in order of rising 2θ:
(hkl), 2theta, Rel. int.
0 0 1, 13.4, 13.9
0 0 2, 27.0, 24.8
1 0 0, 28.2, 19.5
0 1 1, 31.3, 100.0
1 0 2, 39.4, 28.9
1 1 0, 49.9, 20.3
0 1 3, 50.5, 20.6
1 1 2, 57.6, 18.4
2 0 1, 60.1, 15.6
1 0 4, 63.5, 10.4


No. 3
For NdSm3C8, the GGA-PBE geometry in Alexandria gives the simulated powder X-ray diffraction pattern in this record (Cu Ka).

Structural model:
```
data_NdSm3C8
_chemical_formula_sum 'Nd4 Sm12 C32'
_cell_length_a 10.060
_cell_length_b 10.074
_cell_length_c 7.884
_cell_angle_alpha 90.00
_cell_angle_beta 90.00
_cell_angle_gamma 90.00
_symmetry_space_group_name_H-M 'F m m 2'
_symmetry_Int_Tables_number 42
_symmetry_space_group_name_Hall 'F 2 -2'
loop_
_atom_site_label
_atom_site_fract_x
_atom_site_fract_y
_atom_site_fract_z
Nd1 0.000 0.000 0.000
Sm1 0.000 0.000 0.500
Sm2 0.250 0.250 0.250
C1 0.000 0.166 0.759
C2 0.000 0.234 0.362
C3 0.166 0.000 0.243
C4 0.234 0.000 0.639
```

Principal peaks in the range 2θ = 10–80°, in order of rising 2θ:
(hkl), 2theta, Rel. int.
2 2 0, 25.0, 56.8
2 0 2, 28.8, 100.0
4 0 0, 35.7, 34.5
4 2 2, 46.5, 59.4
2 2 4, 53.1, 19.7
6 2 0, 57.9, 13.4
4 0 4, 59.6, 12.3
6 0 2, 59.9, 11.7
6 4 2, 71.7, 14.9
6 2 4, 77.0, 13.9


No. 4
For Nd6Sn2C, the GGA-PBE geometry in Alexandria gives the simulated powder X-ray diffraction pattern in this record (Cu Ka).

Structural model:
```
data_Nd6Sn2C
_chemical_formula_sum 'Nd12 Sn4 C2'
_cell_length_a 7.144
_cell_length_b 7.144
_cell_length_c 10.131
_cell_angle_alpha 90.00
_cell_angle_beta 90.00
_cell_angle_gamma 90.00
_symmetry_space_group_name_H-M 'I 4/m m m'
_symmetry_Int_Tables_number 139
_symmetry_space_group_name_Hall '-I 4 2'
loop_
_atom_site_label
_atom_site_fract_x
_atom_site_fract_y
_atom_site_fract_z
Nd1 0.000 0.000 0.246
Nd2 0.246 0.246 0.000
Sn1 0.000 0.500 0.250
C1 0.000 0.000 0.000
```

Principal peaks in the range 2θ = 10–80°, in order of rising 2θ:
(hkl), 2theta, Rel. int.
0 0 2, 17.5, 0.9
2 0 2, 30.6, 100.0
0 0 4, 35.4, 17.6
2 2 0, 35.5, 35.0
4 0 0, 51.1, 37.4
2 0 6, 60.7, 14.4
4 2 2, 60.8, 28.7
4 0 4, 63.8, 12.8
0 0 8, 75.0, 2.0
4 4 0, 75.2, 4.0